(1)
For Tl2GaSn6, the PBE geometry in Alexandria gives the theoretical PXRD pattern in this record (λ = 1.5418 Å (Cu Kα)).

Top 10 peaks for 5° ≤ 2θ ≤ 70°, sorted by position:
2θ/deg	d [Å]	I_rel
29.64	3.014	25.1
30.02	2.976	20.3
32.27	2.774	36.3
33.32	2.689	100.0
41.85	2.159	13.6
49.89	1.828	14.7
51.14	1.786	12.2
53.31	1.718	24.2
60.45	1.532	12.0
64.34	1.448	14.6

Structural model:
a = 6.8735 Å, b = 6.8735 Å, c = 6.2719 Å
α = 90.00°, β = 90.00°, γ = 120.00°
Space group P-3m1 (No. 164)
Inequivalent atoms, fractional coordinates:
Tl 0.3333 0.6667 0.3359
Ga 0.0000 0.0000 0.5000
Sn 0.1772 0.3545 0.8175


(2)
For TlGa6Sn12, the PBE geometry in Alexandria gives the theoretical PXRD pattern in this record (λ = 1.5418 Å (Cu Kα)).

Top 10 peaks for 5° ≤ 2θ ≤ 70°, sorted by position:
2θ/deg	d [Å]	I_rel
31.22	2.865	100.0
33.80	2.652	47.1
36.21	2.481	61.2
38.49	2.339	13.5
42.74	2.116	8.8
46.67	1.946	14.0
52.14	1.754	25.9
60.46	1.531	15.7
62.04	1.496	35.1
66.64	1.403	10.5

Structural model:
a = 9.9233 Å, b = 9.9233 Å, c = 9.9233 Å
α = 90.00°, β = 90.00°, γ = 90.00°
Space group Im-3 (No. 204)
Inequivalent atoms, fractional coordinates:
Tl 0.0000 0.0000 0.0000
Ga 0.0000 0.3703 0.5000
Sn 0.0000 0.2231 0.2531


(3)
For Tl4GaSn2, the PBE geometry in Alexandria gives the theoretical PXRD pattern in this record (λ = 1.5418 Å (Cu Kα)).

Top 10 peaks for 5° ≤ 2θ ≤ 70°, sorted by position:
2θ/deg	d [Å]	I_rel
19.10	4.647	14.0
26.30	3.388	46.6
30.43	2.938	24.2
32.72	2.737	100.0
35.49	2.529	17.6
35.61	2.522	23.1
36.11	2.487	30.5
38.97	2.311	13.2
47.95	1.897	18.9
62.82	1.479	24.0

Structural model:
a = 9.2454 Å, b = 9.2945 Å, c = 4.9742 Å
α = 90.00°, β = 90.00°, γ = 90.00°
Space group Cmmm (No. 65)
Inequivalent atoms, fractional coordinates:
Tl 0.0000 0.1823 0.0000
Tl 0.2500 0.2500 0.5000
Ga 0.0000 0.5000 0.5000
Sn 0.1783 0.5000 0.0000


(4)
For Tl6GaSn12, the PBE geometry in Alexandria gives the theoretical PXRD pattern in this record (λ = 1.5418 Å (Cu Kα)).

Top 10 peaks for 5° ≤ 2θ ≤ 70°, sorted by position:
2θ/deg	d [Å]	I_rel
24.39	3.649	21.0
25.79	3.455	15.1
30.01	2.978	11.7
30.31	2.949	18.8
32.79	2.731	100.0
33.54	2.672	19.4
35.79	2.509	17.2
37.66	2.389	22.8
57.11	1.613	11.5
63.05	1.474	11.8

Structural model:
a = 12.6404 Å, b = 12.6404 Å, c = 12.3780 Å
α = 90.00°, β = 90.00°, γ = 120.00°
Space group R-3 (No. 148, hexagonal axes)
Inequivalent atoms, fractional coordinates:
Tl 0.0571 0.8740 0.2722
Ga 0.0000 0.0000 0.5000
Sn 0.0690 0.5971 0.2140
Sn 0.0918 0.5640 0.5986


(5)
For Tm2Ga3Sn2, the PBE geometry in Alexandria gives the theoretical PXRD pattern in this record (λ = 1.5418 Å (Cu Kα)).

Top 10 peaks for 5° ≤ 2θ ≤ 70°, sorted by position:
2θ/deg	d [Å]	I_rel
29.03	3.076	100.0
32.55	2.751	42.0
35.75	2.511	57.5
38.73	2.325	46.2
41.52	2.175	40.3
46.69	1.945	23.4
51.46	1.776	22.9
53.72	1.706	18.6
60.17	1.538	25.5
64.24	1.450	19.8

Structural model:
a = 8.6997 Å, b = 8.6997 Å, c = 8.6997 Å
α = 90.00°, β = 90.00°, γ = 90.00°
Space group I2_13 (No. 199)
Inequivalent atoms, fractional coordinates:
Tm 0.0070 0.0070 0.0070
Ga 0.0000 0.2500 0.2458
Sn 0.1888 0.3112 0.6888


(6)
For Tm2GaSn4, the PBE geometry in Alexandria gives the theoretical PXRD pattern in this record (λ = 1.5418 Å (Cu Kα)).

Top 10 peaks for 5° ≤ 2θ ≤ 70°, sorted by position:
2θ/deg	d [Å]	I_rel
28.73	3.107	23.7
30.35	2.945	19.8
34.72	2.584	100.0
35.38	2.537	10.8
38.62	2.331	10.1
41.12	2.195	41.3
50.93	1.793	12.9
57.67	1.598	22.4
59.56	1.552	13.8
67.43	1.389	10.9

Structural model:
a = 4.3901 Å, b = 4.3901 Å, c = 9.3252 Å
α = 90.00°, β = 90.00°, γ = 90.00°
Space group P-4m2 (No. 115)
Inequivalent atoms, fractional coordinates:
Tm 0.0000 0.5000 0.2365
Ga 0.5000 0.5000 0.0000
Sn 0.0000 0.0000 0.5000
Sn 0.0000 0.5000 0.8194
Sn 0.5000 0.5000 0.5000


(7)
For Tm2Ga9Sn, the PBE geometry in Alexandria gives the theoretical PXRD pattern in this record (λ = 1.5418 Å (Cu Kα)).

Top 10 peaks for 5° ≤ 2θ ≤ 70°, sorted by position:
2θ/deg	d [Å]	I_rel
6.73	13.139	5.2
20.28	4.380	4.7
20.87	4.256	8.9
29.26	3.052	7.7
29.69	3.009	3.8
36.22	2.480	100.0
41.23	2.190	16.9
42.48	2.128	32.3
60.69	1.526	21.2
61.65	1.505	10.6

Structural model:
a = 4.2555 Å, b = 4.2555 Å, c = 13.1385 Å
α = 90.00°, β = 90.00°, γ = 90.00°
Space group P4/mmm (No. 123)
Inequivalent atoms, fractional coordinates:
Tm 0.0000 0.0000 0.1592
Ga 0.0000 0.5000 0.0000
Ga 0.0000 0.5000 0.3271
Ga 0.5000 0.5000 0.1615
Ga 0.5000 0.5000 0.5000
Sn 0.0000 0.0000 0.5000


(8)
For U4Ga12Sn, the PBE geometry in Alexandria gives the theoretical PXRD pattern in this record (λ = 1.5418 Å (Cu Kα)).

Top 10 peaks for 5° ≤ 2θ ≤ 70°, sorted by position:
2θ/deg	d [Å]	I_rel
20.30	4.376	24.2
28.86	3.094	74.5
35.54	2.526	100.0
38.49	2.339	12.6
41.26	2.188	65.5
46.40	1.957	22.5
51.13	1.786	21.7
59.78	1.547	36.9
63.82	1.459	14.6
67.72	1.384	22.6

Structural model:
a = 8.7512 Å, b = 8.7512 Å, c = 8.7512 Å
α = 90.00°, β = 90.00°, γ = 90.00°
Space group Im-3m (No. 229)
Inequivalent atoms, fractional coordinates:
U 0.2500 0.2500 0.2500
Ga 0.0000 0.0000 0.3147
Ga 0.0000 0.2500 0.5000
Sn 0.0000 0.0000 0.0000


(9)
For V6GaSn, the PBE geometry in Alexandria gives the theoretical PXRD pattern in this record (λ = 1.5418 Å (Cu Kα)).

Top 10 peaks for 5° ≤ 2θ ≤ 70°, sorted by position:
2θ/deg	d [Å]	I_rel
27.26	3.271	14.1
28.44	3.138	5.4
33.38	2.685	5.0
36.31	2.474	6.6
39.89	2.260	22.6
41.42	2.180	28.7
41.99	2.152	100.0
45.19	2.006	11.5
58.86	1.569	13.5
62.88	1.478	7.4

Structural model:
a = 4.3599 Å, b = 5.9122 Å, c = 9.0397 Å
α = 90.00°, β = 90.00°, γ = 90.00°
Space group Amm2 (No. 38)
Inequivalent atoms, fractional coordinates:
V 0.0000 0.0000 0.0000
V 0.0000 0.2305 0.7686
V 0.5000 0.0000 0.7396
V 0.5000 0.2472 0.4722
Ga 0.0000 0.0000 0.5212
Sn 0.5000 0.0000 0.2157


(10)
For Y3Ga2Sn2, the PBE geometry in Alexandria gives the theoretical PXRD pattern in this record (λ = 1.5418 Å (Cu Kα)).

Top 10 peaks for 5° ≤ 2θ ≤ 70°, sorted by position:
2θ/deg	d [Å]	I_rel
28.38	3.144	22.5
29.27	3.051	12.9
30.80	2.903	100.0
31.30	2.857	28.3
35.02	2.562	42.5
39.57	2.277	39.5
41.24	2.189	72.5
42.46	2.129	29.6
58.50	1.578	25.0
60.70	1.526	20.4

Structural model:
a = 4.2580 Å, b = 4.3752 Å, c = 18.8665 Å
α = 90.00°, β = 90.00°, γ = 90.00°
Space group Immm (No. 71)
Inequivalent atoms, fractional coordinates:
Y 0.0000 0.0000 0.0000
Y 0.0000 0.5000 0.3176
Ga 0.0000 0.0000 0.4363
Sn 0.0000 0.5000 0.1509


(11)
For Y2GaSn4, the PBE geometry in Alexandria gives the theoretical PXRD pattern in this record (λ = 1.5418 Å (Cu Kα)).

Top 10 peaks for 5° ≤ 2θ ≤ 70°, sorted by position:
2θ/deg	d [Å]	I_rel
34.18	2.623	100.0
37.90	2.374	18.9
40.43	2.231	15.8
40.63	2.220	15.6
56.61	1.626	11.9
56.77	1.622	11.8
58.66	1.574	11.1
66.08	1.414	15.2
69.53	1.352	13.0
69.81	1.347	12.8

Structural model:
a = 8.8812 Å, b = 8.9249 Å, c = 9.4953 Å
α = 90.00°, β = 90.00°, γ = 90.00°
Space group Fmmm (No. 69)
Inequivalent atoms, fractional coordinates:
Y 0.2500 0.2500 0.0000
Ga 0.0000 0.0000 0.0000
Sn 0.0000 0.2500 0.2500
Sn 0.2500 0.0000 0.2500


(12)
For Y2Ga3Sn2, the PBE geometry in Alexandria gives the theoretical PXRD pattern in this record (λ = 1.5418 Å (Cu Kα)).

Top 10 peaks for 5° ≤ 2θ ≤ 70°, sorted by position:
2θ/deg	d [Å]	I_rel
28.79	3.101	85.0
32.27	2.774	80.8
35.45	2.532	54.5
38.39	2.344	100.0
41.16	2.193	49.4
43.78	2.068	23.4
48.69	1.870	22.5
53.25	1.720	35.2
57.55	1.602	17.2
59.62	1.551	28.6

Structural model:
a = 8.7722 Å, b = 8.7722 Å, c = 8.7722 Å
α = 90.00°, β = 90.00°, γ = 90.00°
Space group I2_13 (No. 199)
Inequivalent atoms, fractional coordinates:
Y 0.0047 0.0047 0.0047
Ga 0.0000 0.2500 0.2427
Sn 0.1912 0.3088 0.6912